No. 1
Diffraction record for ErInNi. The powder diffraction line list is computed, not measured: it uses a crystal structure in the Materials Project, relaxed with PBE and λ = 1.5418 Å (Cu Kα).
Kinematic intensities with the Lorentz-polarization factor, no thermal factor.

Atomic structure:
abc: 7.4439 7.4439 3.7300
angles: 90.00 90.00 120.00
Space group P-62m (No. 189)
Unique sites:
Er 0.0000 0.5901 0.0000 x3
In 0.0000 0.2559 0.5000 x3
Ni 0.0000 0.0000 0.0000 x1
Ni 0.3333 0.6667 0.5000 x2

Top 10 peaks for 2θ = 10–90°, low angle first:
- d 2.635, I = 81
- d 2.438, I = 100
- d 2.149, I = 19
- d 1.865, I = 15
- d 1.788, I = 12
- d 1.612, I = 21
- d 1.481, I = 23
- d 1.375, I = 20
- d 1.290, I = 12
- d 1.219, I = 12

No. 2
Diffraction record for PmZnAu2. The powder diffraction line list is computed, not measured: it uses a crystal structure in the Materials Project, relaxed with PBE and λ = 1.5418 Å (Cu Kα).
Kinematic intensities with the Lorentz-polarization factor, no thermal factor.

Atomic structure:
abc: 6.9750 6.9750 6.9750
angles: 90.00 90.00 90.00
Space group Fm-3m (No. 225)
Unique sites:
Pm 0.0000 0.0000 0.0000 x4
Zn 0.0000 0.0000 0.5000 x4
Au 0.2500 0.2500 0.2500 x8

Top 10 peaks for 2θ = 10–90°, low angle first:
- d 4.027, I = 4
- d 3.488, I = 10
- d 2.466, I = 100
- d 2.014, I = 3
- d 1.744, I = 18
- d 1.560, I = 4
- d 1.424, I = 36
- d 1.233, I = 11
- d 1.163, I = 2
- d 1.103, I = 17

No. 3
Diffraction record for Li8ZrO6. The powder diffraction line list is computed, not measured: it uses a crystal structure in the Materials Project, relaxed with PBE and λ = 1.5418 Å (Cu Kα).
Kinematic intensities with the Lorentz-polarization factor, no thermal factor.

Atomic structure:
abc: 5.5374 5.5374 15.6498
angles: 90.00 90.00 120.00
Space group R-3 (No. 148, hexagonal axes)
Unique sites:
Li 0.0000 0.0000 0.1551 x6
Li 0.0182 0.3731 0.3785 x18
Zr 0.0000 0.0000 0.5000 x3
O 0.0112 0.3170 0.5814 x18

Top 10 peaks for 2θ = 10–90°, low angle first:
- d 5.217, I = 39
- d 4.585, I = 100
- d 4.089, I = 80
- d 3.032, I = 28
- d 2.621, I = 22
- d 2.446, I = 74
- d 2.370, I = 14
- d 1.899, I = 47
- d 1.599, I = 25
- d 1.223, I = 15

No. 4
Diffraction record for AlSnO3. The powder diffraction line list is computed, not measured: it uses a crystal structure in the Materials Project, relaxed with PBE and λ = 1.5418 Å (Cu Kα).
Kinematic intensities with the Lorentz-polarization factor, no thermal factor.

Atomic structure:
abc: 3.4322 3.4322 12.4704
angles: 90.00 90.00 120.00
Space group P6_3/mmc (No. 194)
Unique sites:
Al 0.0000 0.0000 0.0000 x2
Sn 0.3333 0.6667 0.2500 x2
O 0.0000 0.0000 0.2500 x2
O 0.3333 0.6667 0.0684 x4

Top 10 peaks for 2θ = 10–90°, low angle first:
- d 6.235, I = 56
- d 3.118, I = 38
- d 2.891, I = 100
- d 2.683, I = 21
- d 2.418, I = 27
- d 1.911, I = 36
- d 1.716, I = 29
- d 1.655, I = 12
- d 1.503, I = 26
- d 1.476, I = 13

Question: What is the formula in the first record?
Answer: ErInNi